This entry pairs a crystal structure of HoV2O6 with its simulated XRD peak list. Radiation: Cu Kα. Structure: DFT lattice parameters and positions (PBE+U).

Principal peaks in the range 2θ from 10° to 90°, in order of rising 2θ:
| index | two_theta | Rel. int. |
| --- | --- | --- |
| 0 1 1 | 19.5 | 82 |
| 1 0 0 | 20.8 | 91 |
| 1 0 -2 | 20.9 | 93 |
| 1 1 -2 | 25.9 | 100 |
| 0 1 2 | 29.0 | 59 |
| 1 2 -1 | 35.1 | 96 |

Cell and atoms:
```
HoV2O6
1.0
5.255 0.000 0.000
0.000 5.861 0.000
-5.218 0.000 7.237
Ho V O
2 4 12
Direct
0.000 0.118 0.000 Ho
0.000 0.882 0.500 Ho
0.196 0.328 0.742 V
0.196 0.672 0.242 V
0.706 0.325 0.258 V
0.706 0.675 0.758 V
0.089 0.263 0.509 O
0.089 0.737 0.009 O
0.361 0.327 0.995 O
0.361 0.673 0.495 O
0.532 0.085 0.282 O
0.532 0.915 0.782 O
0.611 0.400 0.817 O
0.611 0.600 0.317 O
0.973 0.085 0.723 O
0.973 0.915 0.223 O
0.988 0.411 0.187 O
0.988 0.589 0.687 O
```